# 1
For CdAu17, DFT lattice parameters and positions (PBE) gives the simulated powder diffraction line list in this record (a wavelength of 1.5418 Å).

Most intense lines, 10 to 80 degrees two-theta, by angle:
2θ (°), I/Imax
35.67, 56
37.07, 50
37.88, 100
38.05, 49
42.56, 51
44.07, 54

Structural model:
```
data_CdAu17
_chemical_formula_sum 'Cd2 Au34'
_symmetry_space_group_name_H-M 'P 1 21/m 1'
_symmetry_Int_Tables_number 11
_symmetry_space_group_name_Hall '-P 2yb'
_cell_length_a 5.011
_cell_length_b 5.846
_cell_length_c 35.242
_cell_angle_alpha 90.00
_cell_angle_beta 90.29
_cell_angle_gamma 90.00
loop_
_atom_site_label
_atom_site_type_symbol
_atom_site_fract_x
_atom_site_fract_y
_atom_site_fract_z
Cd1 Cd 0.167 0.250 0.286
Au1 Au 0.000 0.000 0.000
Au2 Au 0.000 0.002 0.208
Au3 Au 0.166 0.750 0.069
Au4 Au 0.167 0.250 0.069
Au5 Au 0.167 0.250 0.861
Au6 Au 0.167 0.750 0.279
Au7 Au 0.167 0.750 0.861
Au8 Au 0.333 0.000 0.139
Au9 Au 0.333 0.000 0.721
Au10 Au 0.334 0.000 0.931
Au11 Au 0.498 0.250 0.209
Au12 Au 0.499 0.250 0.792
Au13 Au 0.500 0.250 0.000
```


# 2
For CdAu9, DFT lattice parameters and positions (PBE) gives the simulated powder diffraction line list in this record (a wavelength of 1.5418 Å).

Most intense lines, 10 to 80 degrees two-theta, by angle:
2θ (°), I/Imax
35.86, 18
37.59, 100
43.59, 27
43.82, 19
63.51, 20
76.06, 20

Structural model:
```
data_CdAu9
_chemical_formula_sum 'Cd2 Au18'
_symmetry_space_group_name_H-M 'P m m n'
_symmetry_Int_Tables_number 59
_cell_length_a 2.934
_cell_length_b 4.133
_cell_length_c 44.071
_cell_angle_alpha 90.00
_cell_angle_beta 90.00
_cell_angle_gamma 90.00
loop_
_symmetry_equiv_pos_as_xyz
'x,y,z'
'-x,-y,-z'
'-x+1/2,-y+1/2,z'
'x+1/2,y+1/2,-z'
'x+1/2,-y,-z'
'-x+1/2,y,z'
'-x,y+1/2,-z'
'x,-y+1/2,z'
loop_
_atom_site_label
_atom_site_type_symbol
_atom_site_fract_x
_atom_site_fract_y
_atom_site_fract_z
Cd1 Cd 0.250 0.250 0.179
Au1 Au 0.250 0.250 0.248
Au2 Au 0.250 0.250 0.315
Au3 Au 0.250 0.250 0.382
Au4 Au 0.250 0.250 0.450
Au5 Au 0.250 0.250 0.517
Au6 Au 0.250 0.250 0.584
Au7 Au 0.250 0.250 0.652
Au8 Au 0.250 0.250 0.719
Au9 Au 0.250 0.250 0.789
```


# 3
For CdAu8, DFT lattice parameters and positions (PBE) gives the simulated powder diffraction line list in this record (a wavelength of 1.5418 Å).

Most intense lines, 10 to 80 degrees two-theta, by angle:
2θ (°), I/Imax
35.20, 68
37.44, 100
37.75, 99
38.53, 57
42.39, 39
43.79, 34

Structural model:
```
data_CdAu8
_chemical_formula_sum 'Cd4 Au32'
_symmetry_space_group_name_H-M 'C 1 2/m 1'
_symmetry_Int_Tables_number 12
_symmetry_space_group_name_Hall '-C 2y'
_cell_length_a 9.094
_cell_length_b 4.134
_cell_length_c 31.271
_cell_angle_alpha 90.00
_cell_angle_beta 90.39
_cell_angle_gamma 90.00
loop_
_atom_site_label
_atom_site_type_symbol
_atom_site_fract_x
_atom_site_fract_y
_atom_site_fract_z
Cd1 Cd 0.054 0.000 0.242
Au1 Au 0.050 0.000 0.546
Au2 Au 0.051 0.500 0.393
Au3 Au 0.054 0.500 0.702
Au4 Au 0.147 0.000 0.638
Au5 Au 0.150 0.500 0.484
Au6 Au 0.153 0.000 0.334
Au7 Au 0.248 0.500 0.576
Au8 Au 0.249 0.500 0.268
```